The following is a theoretical X-ray powder pattern of LiFe2OF3. It was derived from the GGA+U geometry in Alexandria, using λ = 1.5418 Å (Cu Kα).
No peak broadening, texture or thermal motion is included.

Structural model:
```
data_LiFe2OF3
_chemical_formula_sum 'Li4 Fe8 O4 F12'
_cell_length_a 6.096
_cell_length_b 6.104
_cell_length_c 8.930
_cell_angle_alpha 88.74
_cell_angle_beta 89.82
_cell_angle_gamma 86.94
_symmetry_space_group_name_H-M 'P 1'
_symmetry_Int_Tables_number 1
loop_
_symmetry_equiv_pos_as_xyz
'x,y,z'
loop_
_atom_site_label
_atom_site_fract_x
_atom_site_fract_y
_atom_site_fract_z
Li1 0.000 0.000 0.000
Li2 0.241 0.239 0.244
Li3 0.500 0.000 0.002
Li4 0.752 0.264 0.744
Fe1 0.010 0.488 0.491
Fe2 0.244 0.728 0.248
Fe3 0.274 0.933 0.626
Fe4 0.300 0.474 0.876
Fe5 0.508 0.485 0.511
Fe6 0.739 0.052 0.372
Fe7 0.753 0.755 0.758
Fe8 0.798 0.474 0.124
O1 0.028 0.495 0.265
O2 0.251 0.703 0.484
O3 0.531 0.539 0.743
O4 0.772 0.279 0.514
F1 0.004 0.007 0.230
F2 0.012 0.495 0.740
F3 0.233 0.227 0.013
F4 0.255 0.760 0.006
F5 0.281 0.212 0.486
F6 0.485 0.973 0.233
F7 0.503 0.460 0.242
F8 0.504 0.031 0.770
F9 0.739 0.233 0.983
F10 0.750 0.772 0.511
F11 0.759 0.768 0.997
F12 0.991 0.984 0.764
```

Main lines, by angle (2θ from 10° to 90°):
| d_spacing | 2θ (°) | Rel. int. | hkl |
| --- | --- | --- | --- |
| 6.094 | 14.5 | 75 | 0 1 0 |
| 3.045 | 29.3 | 69 | 2 0 0 |
| 2.674 | 33.5 | 100 | 1 0 3 |
| 2.666 | 33.6 | 51 | 2 1 1 |
| 2.650 | 33.8 | 76 | 0 1 -3 |
| 2.561 | 35.0 | 51 | -2 1 1 |
| 2.546 | 35.3 | 78 | 1 -2 1 |
| 1.523 | 60.8 | 64 | 4 0 0 |